Entry 1:
Simulated X-ray powder pattern of Li3Fe2CoO6 for Cu Ka, from DFT lattice parameters and positions (PBE+U).

Structure:
```
data_Li3Fe2CoO6
_cell_length_a 12.906
_cell_length_b 2.934
_cell_length_c 5.917
_cell_angle_alpha 90.00
_cell_angle_beta 104.29
_cell_angle_gamma 90.00
_symmetry_space_group_name_H-M 'C 1 2/m 1'
_symmetry_Int_Tables_number 12
loop_
_symmetry_equiv_pos_as_xyz
'x,y,z'
'-x,-y,-z'
'-x,y,-z'
'x,-y,z'
'x+1/2,y+1/2,z'
'-x+1/2,-y+1/2,-z'
'-x+1/2,y+1/2,-z'
'x+1/2,-y+1/2,z'
loop_
_atom_site_label
_atom_site_type_symbol
_atom_site_fract_x
_atom_site_fract_y
_atom_site_fract_z
Li1 Li 0.000 0.000 0.000
Li2 Li 0.160 0.500 0.333
Fe1 Fe 0.165 0.500 0.830
Co1 Co 0.000 0.000 0.500
O1 O 0.003 0.500 0.723
O2 O 0.157 0.000 0.589
O3 O 0.169 0.000 0.071
```

Main lines, most intense first (2θ from 10° to 80°):
index  two_theta  d/Å  I/Imax
2 0 -1  18.23  4.867  1000
6 0 0  43.43  2.083  746
4 0 1  35.92  2.500  405
3 1 -3  57.17  1.611  142
7 1 -2  62.65  1.483  136
5 1 2  63.55  1.464  134
2 2 -1  66.63  1.404  93
5 1 -1  47.42  1.917  92

***

Entry 2:
Simulated X-ray powder pattern of ZnCrO4 for Cu Ka, from DFT lattice parameters and positions (PBE+U).

Structure:
```
data_ZnCrO4
_cell_length_a 5.274
_cell_length_b 8.326
_cell_length_c 8.267
_cell_angle_alpha 90.00
_cell_angle_beta 122.45
_cell_angle_gamma 90.00
_symmetry_space_group_name_H-M 'P 1 21/c 1'
_symmetry_Int_Tables_number 14
loop_
_symmetry_equiv_pos_as_xyz
'x,y,z'
'-x,-y,-z'
'-x,y+1/2,-z+1/2'
'x,-y+1/2,z+1/2'
loop_
_atom_site_label
_atom_site_type_symbol
_atom_site_fract_x
_atom_site_fract_y
_atom_site_fract_z
Zn1 Zn 0.106 0.057 0.329
Cr1 Cr 0.369 0.694 0.648
O1 O 0.166 0.635 0.095
O2 O 0.210 0.571 0.464
O3 O 0.284 0.237 0.794
O4 O 0.385 0.605 0.837
```

Main lines, most intense first (2θ from 10° to 80°):
index  two_theta  d/Å  I/Imax
1 2 -1  27.37  3.259  1000
0 1 2  27.73  3.217  707
1 2 -2  31.14  2.872  657
1 2 0  29.38  3.040  520
1 1 1  30.98  2.887  459
2 0 -2  34.26  2.618  405
0 4 1  45.48  1.995  310
2 4 -3  59.20  1.561  241

***

Entry 3:
Simulated X-ray powder pattern of Li9Mn2Co5O16 for Cu Ka, from DFT lattice parameters and positions (PBE+U).

Structure:
```
data_Li9Mn2Co5O16
_cell_length_a 5.873
_cell_length_b 5.804
_cell_length_c 8.491
_cell_angle_alpha 90.00
_cell_angle_beta 90.59
_cell_angle_gamma 90.00
_symmetry_space_group_name_H-M 'P 1 2/m 1'
_symmetry_Int_Tables_number 10
loop_
_symmetry_equiv_pos_as_xyz
'x,y,z'
'-x,-y,-z'
'-x,y,-z'
'x,-y,z'
loop_
_atom_site_label
_atom_site_type_symbol
_atom_site_fract_x
_atom_site_fract_y
_atom_site_fract_z
Li1 Li 0.000 0.000 0.000
Li2 Li 0.000 0.000 0.500
Li3 Li 0.000 0.500 0.000
Li4 Li 0.249 0.245 0.261
Li5 Li 0.500 0.000 0.500
Li6 Li 0.500 0.500 0.500
Mn1 Mn 0.500 0.000 0.000
Mn2 Mn 0.500 0.500 0.000
Co1 Co 0.000 0.500 0.500
Co2 Co 0.244 0.243 0.738
O1 O 0.002 0.500 0.729
O2 O 0.024 0.000 0.760
O3 O 0.231 0.272 0.509
O4 O 0.274 0.255 0.999
O5 O 0.475 0.500 0.769
O6 O 0.493 0.000 0.739
```

Main lines, most intense first (2θ from 10° to 80°):
index  two_theta  d/Å  I/Imax
1 0 -1  18.28  4.853  1000
2 2 0  43.86  2.064  535
0 0 4  42.59  2.123  284
1 2 1  36.16  2.484  250
1 0 3  35.34  2.539  158
2 2 -4  62.54  1.485  147
2 2 4  63.05  1.474  142
3 2 -1  57.75  1.596  95

***

Entry 4:
Simulated X-ray powder pattern of Li9Mn2Co5O16 for Cu Ka, from DFT lattice parameters and positions (PBE+U).

Structure:
```
data_Li9Mn2Co5O16
_cell_length_a 3.017
_cell_length_b 9.734
_cell_length_c 9.967
_cell_angle_alpha 87.16
_cell_angle_beta 87.04
_cell_angle_gamma 83.49
_symmetry_space_group_name_H-M 'P 1'
_symmetry_Int_Tables_number 1
loop_
_symmetry_equiv_pos_as_xyz
'x,y,z'
loop_
_atom_site_label
_atom_site_type_symbol
_atom_site_fract_x
_atom_site_fract_y
_atom_site_fract_z
Li1 Li 0.000 0.000 0.000
Li2 Li 0.000 0.006 0.501
Li3 Li 0.242 0.515 0.875
Li4 Li 0.243 0.509 0.374
Li5 Li 0.496 0.008 0.251
Li6 Li 0.504 0.006 0.750
Li7 Li 0.622 0.759 0.938
Li8 Li 0.739 0.515 0.129
Li9 Li 0.748 0.513 0.627
Mn1 Mn 0.372 0.259 0.063
Mn2 Mn 0.372 0.259 0.563
Co1 Co 0.120 0.761 0.179
Co2 Co 0.124 0.758 0.698
Co3 Co 0.622 0.759 0.438
Co4 Co 0.871 0.259 0.313
Co5 Co 0.871 0.259 0.813
O1 O 0.062 0.874 0.826
O2 O 0.081 0.869 0.338
O3 O 0.165 0.648 0.540
O4 O 0.184 0.644 0.051
O5 O 0.287 0.372 0.221
O6 O 0.287 0.372 0.721
O7 O 0.459 0.144 0.407
O8 O 0.460 0.144 0.907
O9 O 0.537 0.874 0.588
O10 O 0.548 0.875 0.101
O11 O 0.695 0.645 0.775
O12 O 0.707 0.645 0.288
O13 O 0.787 0.375 0.466
O14 O 0.788 0.375 0.966
O15 O 0.954 0.145 0.160
O16 O 0.955 0.145 0.660
```

Main lines, most intense first (2θ from 10° to 80°):
index  two_theta  d/Å  I/Imax
0 2 0  18.36  4.831  1000
1 -2 2  41.13  2.195  345
1 3 -2  44.09  2.054  269
0 3 4  45.08  2.011  245
1 0 2  34.24  2.619  199
-1 5 2  62.66  1.483  155
0 1 4  36.96  2.432  153
1 1 -2  36.28  2.476  124

***

Entry 5:
Simulated X-ray powder pattern of Li9Mn2Co5O16 for Cu Ka, from DFT lattice parameters and positions (PBE+U).

Structure:
```
data_Li9Mn2Co5O16
_cell_length_a 3.036
_cell_length_b 9.841
_cell_length_c 10.122
_cell_angle_alpha 76.57
_cell_angle_beta 88.28
_cell_angle_gamma 86.50
_symmetry_space_group_name_H-M 'P 1'
_symmetry_Int_Tables_number 1
loop_
_symmetry_equiv_pos_as_xyz
'x,y,z'
loop_
_atom_site_label
_atom_site_type_symbol
_atom_site_fract_x
_atom_site_fract_y
_atom_site_fract_z
Li1 Li 0.000 0.000 0.000
Li2 Li 0.000 0.001 0.492
Li3 Li 0.004 0.751 0.372
Li4 Li 0.007 0.499 0.250
Li5 Li 0.008 0.501 0.746
Li6 Li 0.503 0.748 0.618
Li7 Li 0.504 0.250 0.370
Li8 Li 0.504 0.752 0.125
Li9 Li 0.505 0.250 0.875
Mn1 Mn 0.006 0.254 0.620
Mn2 Mn 0.501 0.997 0.747
Co1 Co 0.000 0.748 0.874
Co2 Co 0.004 0.248 0.123
Co3 Co 0.503 0.990 0.250
Co4 Co 0.509 0.513 0.492
Co5 Co 0.511 0.501 0.998
O1 O 0.009 0.371 0.945
O2 O 0.029 0.616 0.553
O3 O 0.033 0.125 0.297
O4 O 0.037 0.127 0.801
O5 O 0.457 0.625 0.823
O6 O 0.475 0.125 0.569
O7 O 0.495 0.375 0.174
O8 O 0.499 0.612 0.326
O9 O 0.507 0.891 0.417
O10 O 0.513 0.120 0.077
O11 O 0.530 0.382 0.667
O12 O 0.542 0.870 0.925
O13 O 0.977 0.870 0.696
O14 O 0.978 0.379 0.444
O15 O 0.984 0.886 0.190
O16 O 0.988 0.626 0.049
```

Main lines, most intense first (2θ from 10° to 80°):
index  two_theta  d/Å  I/Imax
0 1 2  18.27  4.856  1000
1 3 2  40.92  2.206  352
-1 3 2  43.69  2.072  273
0 2 -4  45.17  2.007  238
1 2 0  34.14  2.626  201
0 3 -2  37.00  2.430  184
1 -2 0  35.97  2.497  127
1 -5 2  65.33  1.428  96

***

Repeat the second record exactly.
Simulated X-ray powder pattern of ZnCrO4 for Cu Ka, from DFT lattice parameters and positions (PBE+U).

Structure:
```
data_ZnCrO4
_cell_length_a 5.274
_cell_length_b 8.326
_cell_length_c 8.267
_cell_angle_alpha 90.00
_cell_angle_beta 122.45
_cell_angle_gamma 90.00
_symmetry_space_group_name_H-M 'P 1 21/c 1'
_symmetry_Int_Tables_number 14
loop_
_symmetry_equiv_pos_as_xyz
'x,y,z'
'-x,-y,-z'
'-x,y+1/2,-z+1/2'
'x,-y+1/2,z+1/2'
loop_
_atom_site_label
_atom_site_type_symbol
_atom_site_fract_x
_atom_site_fract_y
_atom_site_fract_z
Zn1 Zn 0.106 0.057 0.329
Cr1 Cr 0.369 0.694 0.648
O1 O 0.166 0.635 0.095
O2 O 0.210 0.571 0.464
O3 O 0.284 0.237 0.794
O4 O 0.385 0.605 0.837
```

Main lines, most intense first (2θ from 10° to 80°):
index  two_theta  d/Å  I/Imax
1 2 -1  27.37  3.259  1000
0 1 2  27.73  3.217  707
1 2 -2  31.14  2.872  657
1 2 0  29.38  3.040  520
1 1 1  30.98  2.887  459
2 0 -2  34.26  2.618  405
0 4 1  45.48  1.995  310
2 4 -3  59.20  1.561  241